[1]
Diffraction record for Er2Al3Tc. The XRD peak list is computed, not measured: it uses a cell relaxed with PBE and CuKα.

Atomic structure:
Lattice parameters (Å, degrees): 5.4720 5.4720 8.9113 90.00 90.00 120.00
Space group P6_3/mmc (No. 194)
Symmetry-distinct sites (fractional):
Er (0.3333, 0.6667, 0.0520) [4 per cell]
Al (0.1628, 0.3255, 0.7500) [6 per cell]
Tc (0.0000, 0.0000, 0.0000) [2 per cell]

Peak list (10 most intense, 5 to 70 degrees two-theta, low angle first)
2theta, I_rel, hkl
19.9, 46, 0 0 2
32.7, 84, 1 1 0
35.7, 55, 1 0 3
38.6, 100, 1 1 2
39.3, 16, 2 0 1
55.0, 17, 1 0 5
58.4, 16, 3 0 0
60.3, 25, 2 1 3
62.4, 24, 3 0 2
65.5, 18, 2 0 5


[2]
Diffraction record for Er6Al2Tc. The XRD peak list is computed, not measured: it uses a cell relaxed with PBE and CuKα.

Atomic structure:
Lattice parameters (Å, degrees): 5.006 7.035 14.544 90.00 90.00 90.00
Space group Immm (No. 71)
Symmetry-distinct sites (fractional):
Er (0.000, 0.232, 0.000) [4 per cell]
Er (0.000, 0.255, 0.343) [8 per cell]
Al (0.000, 0.500, 0.167) [4 per cell]
Tc (0.000, 0.500, 0.500) [2 per cell]

Peak list (10 most intense, 5 to 70 degrees two-theta, low angle first)
2theta, I_rel, hkl
25.3, 34, 0 2 0
25.6, 66, 1 0 3
35.9, 27, 2 0 0
36.3, 100, 1 2 3
37.1, 23, 0 0 6
44.4, 17, 2 2 0
45.4, 13, 0 2 6
52.6, 17, 2 0 6
64.8, 19, 3 2 3
66.3, 15, 1 2 9